# 1
Structure and computed XRD peak list of Pa2Te2AuN2 (the GGA-PBE geometry in Alexandria; Cu Ka).

Structure:
Lattice parameters (Å, degrees): 3.8425 3.8425 13.3896 90.00 90.00 120.00
Space group P-3m1 (No. 164)
Symmetry-distinct sites (fractional):
1 Pa 0.3333 0.6667 0.3178 [2 per cell]
2 Te 0.0000 0.0000 0.1497 [2 per cell]
3 Au 0.0000 0.0000 0.5000 [1 per cell]
4 N 0.3333 0.6667 0.6630 [2 per cell]

Largest 10 diffraction maxima, by angle, 2θ = 10–80°:
2θ = 27.62°, I = 414, (0 1 1)
2θ = 29.99°, I = 446, (1 0 2)
2θ = 33.46°, I = 131, (0 0 5)
2θ = 33.59°, I = 1000, (0 1 3)
2θ = 38.13°, I = 216, (0 1 4)
2θ = 40.42°, I = 142, (0 0 6)
2θ = 47.31°, I = 364, (1 1 0)
2θ = 59.23°, I = 354, (2 0 3)
2θ = 63.94°, I = 222, (1 1 6)
2θ = 79.11°, I = 172, (1 2 3)

=====

# 2
Structure and computed XRD peak list of Pb3AuN (the GGA-PBE geometry in Alexandria; Cu Ka).

Structure:
Lattice parameters (Å, degrees): 5.8606 5.9806 7.7993 90.30 98.61 106.83
Space group P-1 (No. 2)
Symmetry-distinct sites (fractional):
1 Pb 0.0662 0.2575 0.3903 [2 per cell]
2 Pb 0.1658 0.2791 0.9368 [2 per cell]
3 Pb 0.4145 0.8368 0.3187 [2 per cell]
4 Au 0.3236 0.7892 0.9192 [2 per cell]
5 N 0.0330 0.8657 0.3386 [2 per cell]

Largest 10 diffraction maxima, by angle, 2θ = 10–80°:
2θ = 28.50°, I = 666, (-1 1 2)
2θ = 30.29°, I = 801, (1 0 2)
2θ = 30.70°, I = 295, (1 -2 0)
2θ = 31.29°, I = 1000, (0 2 0)
2θ = 31.49°, I = 881, (2 -1 0)
2θ = 32.24°, I = 587, (1 1 -2)
2θ = 32.58°, I = 302, (2 0 -1)
2θ = 36.16°, I = 267, (1 0 -3)
2θ = 39.36°, I = 404, (1 -2 2)
2θ = 40.13°, I = 357, (2 1 0)

=====

# 3
Structure and computed XRD peak list of Pr2PdAuN (the GGA-PBE geometry in Alexandria; Cu Ka).

Structure:
Lattice parameters (Å, degrees): 4.0790 4.0790 12.7628 90.00 90.00 90.00
Space group P4/nmm (No. 129, origin choice 2)
Symmetry-distinct sites (fractional):
1 Pr 0.2500 0.2500 0.0902 [2 per cell]
2 Pr 0.2500 0.2500 0.7100 [2 per cell]
3 Pd 0.2500 0.7500 0.5000 [2 per cell]
4 Au 0.2500 0.2500 0.3507 [2 per cell]
5 N 0.2500 0.2500 0.9038 [2 per cell]

Largest 10 diffraction maxima, by angle, 2θ = 10–80°:
2θ = 30.36°, I = 1000, (1 0 3)
2θ = 31.01°, I = 821, (1 1 0)
2θ = 34.11°, I = 441, (1 1 2)
2θ = 35.16°, I = 295, (0 0 5)
2θ = 37.68°, I = 900, (1 1 3)
2θ = 42.24°, I = 413, (1 1 4)
2θ = 44.42°, I = 743, (2 0 0)
2θ = 54.75°, I = 390, (2 1 3)
2θ = 62.54°, I = 415, (1 0 8)
2θ = 79.88°, I = 328, (2 1 8)

=====

# 4
Structure and computed XRD peak list of Pr7Au2N2 (the GGA-PBE geometry in Alexandria; Cu Ka).

Structure:
Lattice parameters (Å, degrees): 11.6902 7.5165 6.5534 90.00 92.86 90.00
Space group C2/m (No. 12)
Symmetry-distinct sites (fractional):
1 Pr 0.0000 0.0000 0.0000 [2 per cell]
2 Pr 0.0675 0.5000 0.7791 [4 per cell]
3 Pr 0.2165 0.2717 0.2384 [8 per cell]
4 Au 0.0000 0.1840 0.5000 [4 per cell]
5 N 0.2279 0.0000 0.0282 [4 per cell]

Largest 10 diffraction maxima, by angle, 2θ = 10–80°:
2θ = 27.36°, I = 292, (0 2 1)
2θ = 28.24°, I = 383, (2 2 0)
2θ = 30.42°, I = 402, (1 1 -2)
2θ = 30.64°, I = 798, (4 0 0)
2θ = 31.11°, I = 284, (1 1 2)
2θ = 31.78°, I = 770, (2 2 1)
2θ = 32.01°, I = 382, (2 0 2)
2θ = 32.97°, I = 371, (4 0 -1)
2θ = 39.10°, I = 1000, (2 2 -2)
2θ = 56.20°, I = 279, (0 0 4)

=====

# 5
Structure and computed XRD peak list of Pr6Au2N (the GGA-PBE geometry in Alexandria; Cu Ka).

Structure:
Lattice parameters (Å, degrees): 6.8104 7.4169 12.1958 90.00 122.88 90.00
Space group P2_1/c (No. 14)
Symmetry-distinct sites (fractional):
1 Pr 0.1194 0.0259 0.2390 [4 per cell]
2 Pr 0.2288 0.7051 0.0544 [4 per cell]
3 Pr 0.3600 0.1844 0.0538 [4 per cell]
4 Au 0.3036 0.0906 0.7502 [4 per cell]
5 N 0.0000 0.0000 0.0000 [2 per cell]

Largest 10 diffraction maxima, by angle, 2θ = 10–80°:
2θ = 28.85°, I = 318, (2 1 -2)
2θ = 29.74°, I = 1000, (0 2 2)
2θ = 30.03°, I = 446, (2 1 -1)
2θ = 30.32°, I = 514, (2 1 -3)
2θ = 31.28°, I = 279, (2 0 0)
2θ = 31.87°, I = 551, (2 0 -4)
2θ = 32.45°, I = 279, (1 2 1)
2θ = 35.04°, I = 367, (0 0 4)
2θ = 35.77°, I = 577, (0 2 3)
2θ = 39.70°, I = 370, (1 3 0)

=====

# 6
Structure and computed XRD peak list of Pt3AuN (the GGA-PBE geometry in Alexandria; Cu Ka).

Structure:
Lattice parameters (Å, degrees): 4.2116 4.2116 4.2116 90.00 90.00 90.00
Space group Pm-3m (No. 221)
Symmetry-distinct sites (fractional):
1 Pt 0.0000 0.0000 0.5000 [3 per cell]
2 Au 0.5000 0.5000 0.5000 [1 per cell]
3 N 0.0000 0.0000 0.0000 [1 per cell]

Largest 5 diffraction maxima, by angle, 2θ = 10–80°:
2θ = 36.97°, I = 1000, (1 1 1)
2θ = 42.95°, I = 531, (2 0 0)
2θ = 62.36°, I = 355, (2 2 0)
2θ = 74.76°, I = 401, (3 1 1)
2θ = 78.71°, I = 123, (2 2 2)